# La2Mg
Theoretical PXRD pattern, Cu Kα X-rays. Input: a crystal structure in the Materials Project, relaxed with PBE.
Lines closer than 0.1° are merged.

Principal peaks in the range 2θ from 5° to 70°, low angle first:
10.59°, rel. 35, hkl 0 0 1
21.27°, rel. 18, hkl 0 0 2
26.12°, rel. 36, hkl 1 1 -1
28.61°, rel. 25, hkl 4 0 -1
30.33°, rel. 75, hkl 2 0 2
30.59°, rel. 49, hkl 4 0 -2
31.21°, rel. 100, hkl 1 1 -2
33.19°, rel. 90, hkl 3 1 0
40.47°, rel. 17, hkl 2 0 -4
47.78°, rel. 19, hkl 5 1 -3
57.35°, rel. 21, hkl 7 1 -2
58.44°, rel. 25, hkl 2 2 2

```
data_La2Mg
_chemical_formula_sum 'La8 Mg4'
_symmetry_space_group_name_H-M 'C 1 2/m 1'
_symmetry_Int_Tables_number 12
_symmetry_space_group_name_Hall '-C 2y'
_cell_length_a 12.480
_cell_length_b 3.741
_cell_length_c 8.917
_cell_angle_alpha 90.00
_cell_angle_beta 110.44
_cell_angle_gamma 90.00
loop_
_atom_site_label
_atom_site_type_symbol
_atom_site_fract_x
_atom_site_fract_y
_atom_site_fract_z
La1 La 0.019 0.000 0.242
La2 La 0.171 0.500 0.619
Mg1 Mg 0.173 0.500 0.051
```

# LaMg6Mn
Theoretical PXRD pattern, Cu Kα X-rays. Input: a crystal structure in the Materials Project, relaxed with PBE.
Lines closer than 0.1° are merged.

Principal peaks in the range 2θ from 5° to 70°, low angle first:
15.41°, rel. 61, hkl 0 1 1
23.27°, rel. 42, hkl 1 0 2
26.87°, rel. 13, hkl 0 2 0
31.11°, rel. 28, hkl 0 2 2
32.13°, rel. 23, hkl 1 1 3
35.08°, rel. 23, hkl 2 0 0
35.83°, rel. 100, hkl 1 0 4
38.52°, rel. 13, hkl 2 1 1
45.33°, rel. 13, hkl 1 2 4
55.46°, rel. 15, hkl 0 4 0
63.42°, rel. 18, hkl 3 0 4
67.20°, rel. 13, hkl 2 2 6

```
data_LaMg6Mn
_chemical_formula_sum 'La2 Mg12 Mn2'
_symmetry_space_group_name_H-M 'A m m 2'
_symmetry_Int_Tables_number 38
_symmetry_space_group_name_Hall 'A 2 -2'
_cell_length_a 5.116
_cell_length_b 6.630
_cell_length_c 11.516
_cell_angle_alpha 90.00
_cell_angle_beta 90.00
_cell_angle_gamma 90.00
loop_
_atom_site_label
_atom_site_type_symbol
_atom_site_fract_x
_atom_site_fract_y
_atom_site_fract_z
La1 La 0.000 0.000 0.000
Mg1 Mg 0.000 0.000 0.488
Mg2 Mg 0.000 0.239 0.244
Mg3 Mg 0.500 0.000 0.658
Mg4 Mg 0.500 0.239 0.403
Mn1 Mn 0.500 0.000 0.161
```

# LaMg6Mn
Theoretical PXRD pattern, Cu Kα X-rays. Input: a crystal structure in the Materials Project, relaxed with PBE.
Lines closer than 0.1° are merged.

Principal peaks in the range 2θ from 5° to 70°, low angle first:
15.38°, rel. 43, hkl 0 0 2
15.62°, rel. 22, hkl 0 1 1
17.13°, rel. 34, hkl 1 0 0
23.10°, rel. 33, hkl 1 0 2
23.26°, rel. 24, hkl 1 1 1
31.55°, rel. 34, hkl 0 2 2
34.66°, rel. 36, hkl 2 0 0
35.66°, rel. 51, hkl 1 0 4
36.11°, rel. 100, hkl 1 2 2
47.56°, rel. 21, hkl 2 2 2
55.55°, rel. 20, hkl 0 2 6
67.14°, rel. 19, hkl 2 2 6

```
data_LaMg6Mn
_chemical_formula_sum 'La2 Mg12 Mn2'
_symmetry_space_group_name_H-M 'A m m 2'
_symmetry_Int_Tables_number 38
_symmetry_space_group_name_Hall 'A 2 -2'
_cell_length_a 5.177
_cell_length_b 6.516
_cell_length_c 11.524
_cell_angle_alpha 90.00
_cell_angle_beta 90.00
_cell_angle_gamma 90.00
loop_
_atom_site_label
_atom_site_type_symbol
_atom_site_fract_x
_atom_site_fract_y
_atom_site_fract_z
La1 La 0.000 0.000 0.000
Mg1 Mg 0.000 0.245 0.252
Mg2 Mg 0.500 0.000 0.172
Mg3 Mg 0.500 0.000 0.661
Mg4 Mg 0.500 0.235 0.416
Mn1 Mn 0.000 0.000 0.495
```

# LaMg2Mn3S8
Theoretical PXRD pattern, Cu Kα X-rays. Input: a crystal structure in the Materials Project, relaxed with PBE.
Lines closer than 0.1° are merged.

Principal peaks in the range 2θ from 5° to 70°, low angle first:
14.60°, rel. 82, hkl 1 1 0
16.70°, rel. 13, hkl 1 1 -1
24.07°, rel. 17, hkl 0 2 0
27.30°, rel. 28, hkl 1 1 -2
27.95°, rel. 80, hkl 3 1 0
33.76°, rel. 100, hkl 4 0 0
37.45°, rel. 13, hkl 5 1 -2
44.38°, rel. 19, hkl 1 3 -2
44.81°, rel. 22, hkl 6 0 -1
47.69°, rel. 42, hkl 2 2 2
49.30°, rel. 49, hkl 0 4 0
61.09°, rel. 16, hkl 4 4 0

```
data_LaMg2Mn3S8
_chemical_formula_sum 'La2 Mg4 Mn6 S16'
_symmetry_space_group_name_H-M 'C 1 2 1'
_symmetry_Int_Tables_number 5
_symmetry_space_group_name_Hall 'C 2y'
_cell_length_a 12.803
_cell_length_b 7.396
_cell_length_c 7.638
_cell_angle_alpha 90.00
_cell_angle_beta 124.01
_cell_angle_gamma 90.00
loop_
_atom_site_label
_atom_site_type_symbol
_atom_site_fract_x
_atom_site_fract_y
_atom_site_fract_z
La1 La 0.000 0.000 0.000
Mg1 Mg 0.124 0.500 0.872
Mn1 Mn 0.000 0.000 0.500
Mn2 Mn 0.250 0.250 0.500
S1 S 0.021 0.240 0.305
S2 S 0.021 0.760 0.305
S3 S 0.238 0.500 0.696
S4 S 0.244 0.000 0.732
```